Structure and simulated X-ray powder pattern of Ac2Zn6Pd9 (the PBE geometry in Alexandria; Cu Kα X-rays).

Top 6 peaks for 2θ = 15–90°, sorted by position:
(1 0 2), 2θ 23.37, rel. 35
(1 0 3), 2θ 28.82, rel. 40
(2 0 0), 2θ 36.34, rel. 69
(1 1 3), 2θ 38.84, rel. 100
(2 0 3), 2θ 43.09, rel. 39
(2 2 0), 2θ 65.39, rel. 31

Cell: 5.709 5.709 11.925 Å, 90.00 90.00 120.00°
Sites, in units of the cell vectors:
Ac  0.000  0.000  0.197
Ac  0.000  0.000  0.803
Zn  0.333  0.667  0.165
Zn  0.333  0.667  0.500
Zn  0.333  0.667  0.835
Zn  0.667  0.333  0.165
Zn  0.667  0.333  0.500
Zn  0.667  0.333  0.835
Pd  0.000  0.500  0.000
Pd  0.000  0.500  0.332
Pd  0.000  0.500  0.668
Pd  0.500  0.000  0.000
Pd  0.500  0.000  0.332
Pd  0.500  0.000  0.668
Pd  0.500  0.500  0.000
Pd  0.500  0.500  0.332
Pd  0.500  0.500  0.668